1.
Structure and simulated PXRD pattern of TbNdTh2Pt4 (a cell relaxed with PBE; copper Kα).
Intensities are scaled so that the largest is 100.

Peak list (6 most intense, 2θ = 5–70°, low angle first)
- d = 5.899 Å, I 1.4
- d = 4.172 Å, I 1.3
- d = 2.950 Å, I 100.0
- d = 2.086 Å, I 76.2
- d = 1.703 Å, I 27.2
- d = 1.475 Å, I 12.8

Structure:
a b c (Å): 7.225 5.900 7.225
angles (deg): 65.90 48.19 65.90
Fractional positions:
Tb: 0.000 0.000 0.000
Nd: 0.499 0.499 0.501
Th: 0.249 0.249 0.251
Th: 0.749 0.749 0.751
Pt: 0.245 0.752 0.248
Pt: 0.500 0.999 0.500
Pt: 0.752 0.245 0.755
Pt: 0.999 0.500 0.001

---

2.
Structure and simulated PXRD pattern of La4Pm4Nd3 (a cell relaxed with PBE; copper Kα).
Intensities are scaled so that the largest is 100.

Peak list (6 most intense, 2θ = 5–70°, low angle first)
- d = 2.974 Å, I 87.6
- d = 2.932 Å, I 100.0
- d = 2.899 Å, I 50.1
- d = 2.831 Å, I 27.0
- d = 1.655 Å, I 27.5
- d = 1.641 Å, I 26.9

Structure:
a b c (Å): 12.455 12.455 12.455
angles (deg): 163.08 134.17 49.19
Fractional positions:
La: 0.025 0.854 0.170
La: 0.316 0.146 0.170
La: 0.684 0.854 0.830
La: 0.975 0.146 0.830
Pm: 0.263 0.763 0.500
Pm: 0.313 0.000 0.313
Pm: 0.687 0.000 0.687
Pm: 0.737 0.237 0.500
Nd: 0.000 0.500 0.500
Nd: 0.394 0.394 0.000
Nd: 0.606 0.606 0.000

---

3.
Structure and simulated PXRD pattern of Mg2In2Ag5 (a cell relaxed with PBE; copper Kα).
Intensities are scaled so that the largest is 100.

Peak list (6 most intense, 2θ = 5–70°, low angle first)
- d = 2.450 Å, I 70.6
- d = 2.407 Å, I 33.5
- d = 2.371 Å, I 100.0
- d = 2.359 Å, I 24.1
- d = 2.342 Å, I 42.3
- d = 1.678 Å, I 21.2

Structure:
a b c (Å): 8.703 4.908 4.908
angles (deg): 57.00 90.00 90.00
Fractional positions:
Mg: 0.189 0.000 0.000
Mg: 0.811 0.000 0.000
In: 0.000 0.345 0.345
In: 0.500 0.613 0.613
Ag: 0.162 0.677 0.677
Ag: 0.332 0.303 0.303
Ag: 0.500 0.935 0.935
Ag: 0.668 0.303 0.303
Ag: 0.838 0.677 0.677

---

4.
Structure and simulated PXRD pattern of FeRhW (a cell relaxed with PBE; copper Kα).
Intensities are scaled so that the largest is 100.

Peak list (6 most intense, 2θ = 5–70°, low angle first)
- d = 3.424 Å, I 32.7
- d = 2.210 Å, I 100.0
- d = 2.202 Å, I 99.2
- d = 1.924 Å, I 65.4
- d = 1.885 Å, I 30.8
- d = 1.346 Å, I 39.9

Structure:
a b c (Å): 2.713 3.770 8.185
angles (deg): 90.00 90.00 90.00
Fractional positions:
Fe: 0.000 0.000 0.000
Fe: 0.500 0.500 0.500
Rh: 0.000 0.000 0.662
Rh: 0.500 0.500 0.162
W: 0.000 0.000 0.335
W: 0.500 0.500 0.835

---

5.
Structure and simulated PXRD pattern of Ca2Ni10H (a cell relaxed with PBE; copper Kα).
Intensities are scaled so that the largest is 100.

Peak list (6 most intense, 2θ = 5–70°, low angle first)
- d = 4.300 Å, I 49.2
- d = 2.105 Å, I 50.2
- d = 2.096 Å, I 100.0
- d = 1.976 Å, I 49.5
- d = 1.889 Å, I 59.3
- d = 1.880 Å, I 31.6

Structure:
a b c (Å): 7.906 4.945 4.945
angles (deg): 60.40 90.00 90.00
Fractional positions:
Ca: 0.242 0.000 0.000
Ca: 0.758 0.000 0.000
Ni: 0.000 0.000 0.500
Ni: 0.000 0.500 0.000
Ni: 0.000 0.500 0.500
Ni: 0.249 0.337 0.337
Ni: 0.249 0.666 0.666
Ni: 0.500 0.498 0.498
Ni: 0.500 0.505 0.995
Ni: 0.500 0.995 0.505
Ni: 0.751 0.337 0.337
Ni: 0.751 0.666 0.666
H: 0.500 0.139 0.139

---

6.
Structure and simulated PXRD pattern of LiNb2H6 (a cell relaxed with PBE; copper Kα).
Intensities are scaled so that the largest is 100.

Peak list (6 most intense, 2θ = 5–70°, low angle first)
- d = 5.115 Å, I 39.7
- d = 3.360 Å, I 50.1
- d = 2.794 Å, I 36.3
- d = 2.462 Å, I 100.0
- d = 2.306 Å, I 23.4
- d = 1.541 Å, I 24.9

Structure:
a b c (Å): 5.828 5.611 3.623
angles (deg): 74.84 68.30 36.87
Fractional positions:
Li: 0.000 0.000 0.000
Nb: 0.332 0.332 0.668
Nb: 0.668 0.668 0.332
H: 0.008 0.315 0.685
H: 0.315 0.008 0.992
H: 0.334 0.666 0.334
H: 0.666 0.334 0.666
H: 0.685 0.992 0.008
H: 0.992 0.685 0.315

---

7.
Structure and simulated PXRD pattern of NdSm5Er (a cell relaxed with PBE; copper Kα).
Intensities are scaled so that the largest is 100.

Peak list (6 most intense, 2θ = 5–70°, low angle first)
- d = 2.971 Å, I 15.2
- d = 2.861 Å, I 15.9
- d = 2.818 Å, I 100.0
- d = 2.804 Å, I 26.8
- d = 2.628 Å, I 17.5
- d = 1.622 Å, I 14.4

Structure:
a b c (Å): 6.308 6.310 6.979
angles (deg): 99.22 99.31 112.81
Fractional positions:
Nd: 0.000 0.000 0.000
Sm: 0.096 0.528 0.766
Sm: 0.472 0.904 0.234
Sm: 0.500 0.500 0.500
Sm: 0.528 0.096 0.766
Sm: 0.904 0.472 0.234
Er: 0.000 0.000 0.500

---

8.
Structure and simulated PXRD pattern of TiMnNbRe (a cell relaxed with PBE; copper Kα).
Intensities are scaled so that the largest is 100.

Peak list (6 most intense, 2θ = 5–70°, low angle first)
- d = 3.586 Å, I 31.2
- d = 3.105 Å, I 8.2
- d = 2.196 Å, I 100.0
- d = 1.873 Å, I 16.5
- d = 1.553 Å, I 16.3
- d = 1.425 Å, I 7.1

Structure:
a b c (Å): 6.210 6.210 6.210
angles (deg): 90.00 90.00 90.00
Fractional positions:
Ti: 0.000 0.000 0.000
Ti: 0.000 0.500 0.500
Ti: 0.500 0.000 0.500
Ti: 0.500 0.500 0.000
Mn: 0.250 0.250 0.750
Mn: 0.250 0.750 0.250
Mn: 0.750 0.250 0.250
Mn: 0.750 0.750 0.750
Nb: 0.000 0.000 0.500
Nb: 0.000 0.500 0.000
Nb: 0.500 0.000 0.000
Nb: 0.500 0.500 0.500
Re: 0.250 0.250 0.250
Re: 0.250 0.750 0.750
Re: 0.750 0.250 0.750
Re: 0.750 0.750 0.250

---

9.
Structure and simulated PXRD pattern of P2RhPbO8 (a cell relaxed with PBE; copper Kα).
Intensities are scaled so that the largest is 100.

Peak list (6 most intense, 2θ = 5–70°, low angle first)
- d = 3.908 Å, I 43.4
- d = 3.349 Å, I 100.0
- d = 2.406 Å, I 35.1
- d = 2.332 Å, I 27.3
- d = 2.025 Å, I 30.3
- d = 1.954 Å, I 18.5

Structure:
a b c (Å): 8.003 8.003 8.003
angles (deg): 34.99 34.99 34.99
Fractional positions:
P: 0.241 0.241 0.241
P: 0.759 0.759 0.759
Rh: 0.500 0.500 0.500
Pb: 0.000 0.000 0.000
O: 0.097 0.763 0.480
O: 0.237 0.520 0.903
O: 0.309 0.309 0.309
O: 0.480 0.097 0.763
O: 0.520 0.903 0.237
O: 0.691 0.691 0.691
O: 0.763 0.480 0.097
O: 0.903 0.237 0.520

---

10.
Structure and simulated PXRD pattern of NpAg2Cl8 (a cell relaxed with PBE; copper Kα).
Intensities are scaled so that the largest is 100.

Peak list (6 most intense, 2θ = 5–70°, low angle first)
- d = 6.699 Å, I 75.3
- d = 4.804 Å, I 62.6
- d = 4.717 Å, I 100.0
- d = 4.676 Å, I 33.2
- d = 3.314 Å, I 38.6
- d = 2.359 Å, I 38.9

Structure:
a b c (Å): 10.189 10.189 13.180
angles (deg): 129.36 129.36 44.22
Fractional positions:
Np: 0.002 0.998 0.750
Np: 0.998 0.002 0.250
Ag: 0.002 0.498 0.250
Ag: 0.498 0.002 0.750
Ag: 0.502 0.998 0.250
Ag: 0.998 0.502 0.750
Cl: 0.152 0.156 0.502
Cl: 0.156 0.152 0.002
Cl: 0.159 0.706 0.297
Cl: 0.162 0.703 0.796
Cl: 0.294 0.841 0.203
Cl: 0.297 0.838 0.704
Cl: 0.320 0.324 0.902
Cl: 0.324 0.320 0.402
Cl: 0.676 0.680 0.598
Cl: 0.680 0.676 0.098
Cl: 0.703 0.162 0.296
Cl: 0.706 0.159 0.797
Cl: 0.838 0.297 0.204
Cl: 0.841 0.294 0.703
Cl: 0.844 0.848 0.998
Cl: 0.848 0.844 0.498